Computed XRD peak list
Compound: Tb5Pm6Ho
Radiation: Cu Ka
Structure: a cell relaxed with GGA-PBE
Intensities are scaled so that the largest is 100.

Cell and atoms:
```
data_Tb5Pm6Ho
_symmetry_space_group_name_H-M 'C 1 2/m 1'
_symmetry_Int_Tables_number 12
_cell_length_a 6.249
_cell_length_b 10.822
_cell_length_c 11.884
_cell_angle_alpha 90.00
_cell_angle_beta 100.07
_cell_angle_gamma 90.00
loop_
_symmetry_equiv_pos_as_xyz
'x,y,z'
'-x,-y,-z'
'-x,y,-z'
'x,-y,z'
'x+1/2,y+1/2,z'
'-x+1/2,-y+1/2,-z'
'-x+1/2,y+1/2,-z'
'x+1/2,-y+1/2,z'
loop_
_atom_site_label
_atom_site_type_symbol
_atom_site_fract_x
_atom_site_fract_y
_atom_site_fract_z
Tb1 Tb 0.000 0.000 0.000
Tb2 Tb 0.000 0.167 0.500
Tb3 Tb 0.000 0.333 0.000
Pm1 Pm 0.250 0.000 0.750
Pm2 Pm 0.250 0.167 0.250
Ho1 Ho 0.000 0.500 0.500
```

The 10 most intense peaks (2θ = 5–70°), in order of falling intensity:
- (1 3 1), 2θ 30.4, I = 100
- (2 0 2), 2θ 35.3, I = 67
- (0 0 4), 2θ 30.6, I = 33
- (3 3 3), 2θ 60.3, I = 29
- (0 6 0), 2θ 50.6, I = 24
- (1 3 5), 2θ 50.9, I = 24
- (4 0 0), 2θ 60.2, I = 14
- (2 0 6), 2θ 60.5, I = 14
- (2 6 2), 2θ 63.2, I = 12
- (0 0 8), 2θ 63.6, I = 4

Computed XRD peak list
Compound: Li2Nd2DyIn5
Radiation: Cu Ka
Structure: a cell relaxed with GGA-PBE
Intensities are scaled so that the largest is 100.

Cell and atoms:
```
data_Li2Nd2DyIn5
_symmetry_space_group_name_H-M 'P 4/m b m'
_symmetry_Int_Tables_number 127
_symmetry_space_group_name_Hall '-P 4 2ab'
_cell_length_a 10.357
_cell_length_b 10.357
_cell_length_c 4.534
_cell_angle_alpha 90.00
_cell_angle_beta 90.00
_cell_angle_gamma 90.00
loop_
_atom_site_label
_atom_site_type_symbol
_atom_site_fract_x
_atom_site_fract_y
_atom_site_fract_z
Li1 Li 0.116 0.384 0.000
Nd1 Nd 0.178 0.678 0.000
Dy1 Dy 0.000 0.000 0.000
In1 In 0.000 0.500 0.500
In2 In 0.068 0.211 0.500
```

The 10 most intense peaks (2θ = 5–70°), in order of falling intensity:
- (3 1 1), 2θ 33.8, I = 100
- (2 1 1), 2θ 27.5, I = 63
- (4 1 0), 2θ 35.7, I = 47
- (2 2 1), 2θ 31.4, I = 39
- (0 0 2), 2θ 39.8, I = 31
- (4 1 2), 2θ 54.5, I = 28
- (3 2 1), 2θ 37.0, I = 24
- (4 2 0), 2θ 38.9, I = 23
- (7 1 1), 2θ 67.2, I = 16
- (3 1 3), 2θ 68.3, I = 15

Computed XRD peak list
Compound: NaGe2F6
Radiation: Cu Ka
Structure: a cell relaxed with GGA-PBE
Intensities are scaled so that the largest is 100.

Cell and atoms:
```
data_NaGe2F6
_symmetry_space_group_name_H-M 'C 1 2/c 1'
_symmetry_Int_Tables_number 15
_cell_length_a 9.576
_cell_length_b 11.458
_cell_length_c 5.473
_cell_angle_alpha 90.00
_cell_angle_beta 103.35
_cell_angle_gamma 90.00
loop_
_symmetry_equiv_pos_as_xyz
'x,y,z'
'-x,-y,-z'
'-x,y,-z+1/2'
'x,-y,z+1/2'
'x+1/2,y+1/2,z'
'-x+1/2,-y+1/2,-z'
'-x+1/2,y+1/2,-z+1/2'
'x+1/2,-y+1/2,z+1/2'
loop_
_atom_site_label
_atom_site_type_symbol
_atom_site_fract_x
_atom_site_fract_y
_atom_site_fract_z
Na1 Na 0.000 0.091 0.250
Ge1 Ge 0.175 0.381 0.160
F1 F 0.108 0.402 0.450
F2 F 0.137 0.079 0.670
F3 F 0.173 0.220 0.181
```

The 10 most intense peaks (2θ = 5–70°), in order of falling intensity:
- (0 2 1), 2θ 22.8, I = 100
- (1 1 1), 2θ 22.4, I = 66
- (2 2 -1), 2θ 27.2, I = 62
- (0 4 0), 2θ 31.2, I = 43
- (3 1 0), 2θ 29.8, I = 32
- (2 0 -2), 2θ 34.7, I = 32
- (2 0 0), 2θ 19.1, I = 32
- (2 2 -3), 2θ 53.2, I = 29
- (3 1 1), 2θ 37.6, I = 26
- (0 0 2), 2θ 33.7, I = 26

Computed XRD peak list
Compound: PrSmCu10
Radiation: Cu Ka
Structure: a cell relaxed with GGA-PBE
Intensities are scaled so that the largest is 100.

Cell and atoms:
```
data_PrSmCu10
_symmetry_space_group_name_H-M 'P m m m'
_symmetry_Int_Tables_number 47
_cell_length_a 4.120
_cell_length_b 5.132
_cell_length_c 8.814
_cell_angle_alpha 90.00
_cell_angle_beta 90.00
_cell_angle_gamma 90.00
loop_
_symmetry_equiv_pos_as_xyz
'x,y,z'
'-x,-y,-z'
'-x,-y,z'
'x,y,-z'
'x,-y,-z'
'-x,y,z'
'-x,y,-z'
'x,-y,z'
loop_
_atom_site_label
_atom_site_type_symbol
_atom_site_fract_x
_atom_site_fract_y
_atom_site_fract_z
Pr1 Pr 0.000 0.000 0.000
Sm1 Sm 0.000 0.500 0.500
Cu1 Cu 0.000 0.000 0.336
Cu2 Cu 0.000 0.500 0.169
Cu3 Cu 0.500 0.000 0.500
Cu4 Cu 0.500 0.251 0.252
Cu5 Cu 0.500 0.500 0.000
```

The 10 most intense peaks (2θ = 5–70°), in order of falling intensity:
- (1 1 3), 2θ 41.7, I = 100
- (1 0 2), 2θ 29.6, I = 65
- (1 2 0), 2θ 41.5, I = 51
- (2 0 0), 2θ 44.0, I = 41
- (0 2 2), 2θ 40.7, I = 35
- (0 1 3), 2θ 35.2, I = 30
- (1 3 3), 2θ 67.3, I = 23
- (2 2 2), 2θ 61.4, I = 20
- (0 0 4), 2θ 41.0, I = 17
- (0 2 0), 2θ 35.0, I = 15

Computed XRD peak list
Compound: BaPaBi
Radiation: Cu Ka
Structure: a cell relaxed with GGA-PBE
Intensities are scaled so that the largest is 100.

Cell and atoms:
```
data_BaPaBi
_symmetry_space_group_name_H-M 'I 4/m m m'
_symmetry_Int_Tables_number 139
_symmetry_space_group_name_Hall '-I 4 2'
_cell_length_a 4.638
_cell_length_b 4.638
_cell_length_c 19.948
_cell_angle_alpha 90.00
_cell_angle_beta 90.00
_cell_angle_gamma 90.00
loop_
_atom_site_label
_atom_site_type_symbol
_atom_site_fract_x
_atom_site_fract_y
_atom_site_fract_z
Ba1 Ba 0.000 0.000 0.175
Pa1 Pa 0.000 0.500 0.000
Bi1 Bi 0.000 0.000 0.380
```

The 10 most intense peaks (2θ = 5–70°), in order of falling intensity:
- (1 1 4), 2θ 32.7, I = 100
- (0 0 2), 2θ 8.9, I = 55
- (1 1 2), 2θ 28.7, I = 53
- (2 0 0), 2θ 38.8, I = 45
- (1 0 5), 2θ 29.5, I = 40
- (3 1 4), 2θ 66.4, I = 27
- (2 1 9), 2θ 61.2, I = 20
- (2 1 5), 2θ 49.5, I = 19
- (0 0 6), 2θ 26.8, I = 18
- (1 0 9), 2θ 45.3, I = 17

Computed XRD peak list
Compound: Ho6Cu5
Radiation: Cu Ka
Structure: a cell relaxed with GGA-PBE
Intensities are scaled so that the largest is 100.

Cell and atoms:
```
data_Ho6Cu5
_symmetry_space_group_name_H-M 'I m m m'
_symmetry_Int_Tables_number 71
_symmetry_space_group_name_Hall '-I 2 2'
_cell_length_a 4.867
_cell_length_b 6.875
_cell_length_c 14.550
_cell_angle_alpha 90.00
_cell_angle_beta 90.00
_cell_angle_gamma 90.00
loop_
_atom_site_label
_atom_site_type_symbol
_atom_site_fract_x
_atom_site_fract_y
_atom_site_fract_z
Ho1 Ho 0.000 0.249 0.000
Ho2 Ho 0.000 0.250 0.335
Cu1 Cu 0.000 0.000 0.169
Cu2 Cu 0.000 0.500 0.171
Cu3 Cu 0.000 0.500 0.500
```

The 10 most intense peaks (2θ = 5–70°), in order of falling intensity:
- (2 0 0), 2θ 37.0, I = 100
- (1 0 3), 2θ 25.9, I = 34
- (3 2 3), 2θ 66.6, I = 21
- (0 4 0), 2θ 53.3, I = 21
- (0 4 6), 2θ 66.7, I = 21
- (0 0 6), 2θ 37.1, I = 20
- (2 2 6), 2θ 60.2, I = 9
- (2 2 0), 2θ 45.7, I = 5
- (0 2 6), 2θ 45.8, I = 5
- (3 0 3), 2θ 60.1, I = 2

Computed XRD peak list
Compound: Dy3TaO7
Radiation: Cu Ka
Structure: a cell relaxed with GGA-PBE
Intensities are scaled so that the largest is 100.

Cell and atoms:
```
data_Dy3TaO7
_symmetry_space_group_name_H-M 'P n m a'
_symmetry_Int_Tables_number 62
_cell_length_a 7.441
_cell_length_b 10.588
_cell_length_c 7.575
_cell_angle_alpha 90.00
_cell_angle_beta 90.00
_cell_angle_gamma 90.00
loop_
_symmetry_equiv_pos_as_xyz
'x,y,z'
'-x,-y,-z'
'-x+1/2,-y,z+1/2'
'x+1/2,y,-z+1/2'
'x+1/2,-y+1/2,-z+1/2'
'-x+1/2,y+1/2,z+1/2'
'-x,y+1/2,-z'
'x,-y+1/2,z'
loop_
_atom_site_label
_atom_site_type_symbol
_atom_site_fract_x
_atom_site_fract_y
_atom_site_fract_z
Dy1 Dy 0.016 0.250 0.203
Dy2 Dy 0.248 0.021 0.534
Ta1 Ta 0.002 0.250 0.750
O1 O 0.038 0.125 0.954
O2 O 0.042 0.610 0.409
O3 O 0.242 0.616 0.768
O4 O 0.248 0.250 0.663
```

The 10 most intense peaks (2θ = 5–70°), in order of falling intensity:
- (2 2 0), 2θ 29.3, I = 100
- (0 2 2), 2θ 29.0, I = 95
- (0 4 0), 2θ 33.8, I = 73
- (2 4 2), 2θ 48.6, I = 48
- (4 2 2), 2θ 57.9, I = 38
- (2 2 4), 2θ 57.3, I = 16
- (4 0 0), 2θ 49.0, I = 16
- (0 6 2), 2θ 57.6, I = 11
- (4 4 0), 2θ 60.9, I = 10
- (0 0 4), 2θ 48.0, I = 7

Computed XRD peak list
Compound: RbIrRu
Radiation: Cu Ka
Structure: a cell relaxed with GGA-PBE
Intensities are scaled so that the largest is 100.

Cell and atoms:
```
data_RbIrRu
_symmetry_space_group_name_H-M 'P 1 m 1'
_symmetry_Int_Tables_number 6
_cell_length_a 5.276
_cell_length_b 4.102
_cell_length_c 7.017
_cell_angle_alpha 90.00
_cell_angle_beta 97.68
_cell_angle_gamma 90.00
loop_
_symmetry_equiv_pos_as_xyz
'x,y,z'
'x,-y,z'
loop_
_atom_site_label
_atom_site_type_symbol
_atom_site_fract_x
_atom_site_fract_y
_atom_site_fract_z
Rb1 Rb 0.000 0.000 0.000
Rb2 Rb 0.476 0.500 0.840
Ir1 Ir 0.326 0.500 0.359
Ir2 Ir 0.602 0.000 0.470
Ru1 Ru 0.100 0.000 0.485
Ru2 Ru 0.833 0.500 0.366
```

The 10 most intense peaks (2θ = 5–70°), in order of falling intensity:
- (0 0 1), 2θ 12.7, I = 100
- (0 0 2), 2θ 25.6, I = 37
- (0 1 2), 2θ 33.8, I = 35
- (2 1 -1), 2θ 41.6, I = 28
- (2 1 0), 2θ 40.9, I = 27
- (0 2 1), 2θ 46.2, I = 19
- (0 2 0), 2θ 44.2, I = 17
- (0 1 4), 2θ 57.6, I = 15
- (2 1 2), 2θ 51.5, I = 11
- (0 2 2), 2θ 51.7, I = 11

Computed XRD peak list
Compound: RbTcO3F
Radiation: Cu Ka
Structure: a cell relaxed with GGA-PBE
Intensities are scaled so that the largest is 100.

Cell and atoms:
```
data_RbTcO3F
_symmetry_space_group_name_H-M 'C 1 2/c 1'
_symmetry_Int_Tables_number 15
_cell_length_a 9.532
_cell_length_b 14.931
_cell_length_c 5.313
_cell_angle_alpha 90.00
_cell_angle_beta 123.76
_cell_angle_gamma 90.00
loop_
_symmetry_equiv_pos_as_xyz
'x,y,z'
'-x,-y,-z'
'-x,y,-z+1/2'
'x,-y,z+1/2'
'x+1/2,y+1/2,z'
'-x+1/2,-y+1/2,-z'
'-x+1/2,y+1/2,-z+1/2'
'x+1/2,-y+1/2,z+1/2'
loop_
_atom_site_label
_atom_site_type_symbol
_atom_site_fract_x
_atom_site_fract_y
_atom_site_fract_z
Rb1 Rb 0.000 0.093 0.250
Tc1 Tc 0.000 0.453 0.750
O1 O 0.000 0.339 0.750
O2 O 0.152 0.500 0.152
F1 F 0.000 0.089 0.750
```

The 10 most intense peaks (2θ = 5–70°), in order of falling intensity:
- (0 2 0), 2θ 11.9, I = 100
- (0 2 1), 2θ 23.4, I = 61
- (2 0 0), 2θ 22.4, I = 44
- (0 4 1), 2θ 31.4, I = 26
- (4 0 -2), 2θ 40.9, I = 21
- (2 2 0), 2θ 25.4, I = 16
- (1 3 0), 2θ 21.1, I = 15
- (2 2 1), 2θ 40.0, I = 14
- (1 5 0), 2θ 32.0, I = 14
- (4 0 0), 2θ 45.8, I = 14

Computed XRD peak list
Compound: Cs3TcI8
Radiation: Cu Ka
Structure: a cell relaxed with GGA-PBE
Intensities are scaled so that the largest is 100.

Cell and atoms:
```
data_Cs3TcI8
_symmetry_space_group_name_H-M 'P 63 m c'
_symmetry_Int_Tables_number 186
_symmetry_space_group_name_Hall 'P 6c -2c'
_cell_length_a 11.6646
_cell_length_b 11.6646
_cell_length_c 9.8605
_cell_angle_alpha 90.00
_cell_angle_beta 90.00
_cell_angle_gamma 120.00
loop_
_atom_site_label
_atom_site_type_symbol
_atom_site_fract_x
_atom_site_fract_y
_atom_site_fract_z
Cs1 Cs 0.1513 0.3026 0.0000
Tc1 Tc 0.3333 0.6667 0.4284
I1 I 0.0000 0.0000 0.2518
I2 I 0.1123 0.5562 0.2697
I3 I 0.2224 0.4447 0.5922
I4 I 0.3333 0.6667 0.9271
```

The 10 most intense peaks (2θ = 5–70°), in order of falling intensity:
- (2 0 2), 2θ 25.2, I = 100
- (3 0 1), 2θ 28.0, I = 72
- (2 1 1), 2θ 25.0, I = 44
- (2 2 0), 2θ 30.7, I = 34
- (1 0 3), 2θ 28.6, I = 31
- (2 1 2), 2θ 29.6, I = 30
- (3 1 2), 2θ 36.9, I = 26
- (3 3 0), 2θ 46.7, I = 25
- (1 1 0), 2θ 15.2, I = 22
- (5 1 2), 2θ 53.9, I = 22

Computed XRD peak list
Compound: Mg2Te3O8
Radiation: Cu Ka
Structure: a cell relaxed with GGA-PBE
Intensities are scaled so that the largest is 100.

Cell and atoms:
```
data_Mg2Te3O8
_symmetry_space_group_name_H-M 'C 1 2/c 1'
_symmetry_Int_Tables_number 15
_cell_length_a 12.803
_cell_length_b 5.319
_cell_length_c 11.753
_cell_angle_alpha 90.00
_cell_angle_beta 98.47
_cell_angle_gamma 90.00
loop_
_symmetry_equiv_pos_as_xyz
'x,y,z'
'-x,-y,-z'
'-x,y,-z+1/2'
'x,-y,z+1/2'
'x+1/2,y+1/2,z'
'-x+1/2,-y+1/2,-z'
'-x+1/2,y+1/2,-z+1/2'
'x+1/2,-y+1/2,z+1/2'
loop_
_atom_site_label
_atom_site_type_symbol
_atom_site_fract_x
_atom_site_fract_y
_atom_site_fract_z
Mg1 Mg 0.232 0.190 0.352
Te1 Te 0.000 0.154 0.750
Te2 Te 0.137 0.186 0.057
O1 O 0.080 0.068 0.354
O2 O 0.115 0.134 0.637
O3 O 0.200 0.354 0.192
O4 O 0.236 0.493 0.973
```

The 10 most intense peaks (2θ = 5–70°), in order of falling intensity:
- (1 1 3), 2θ 30.2, I = 100
- (3 1 -1), 2θ 27.2, I = 96
- (2 0 2), 2θ 22.2, I = 91
- (1 1 0), 2θ 18.1, I = 86
- (1 1 -1), 2θ 19.2, I = 73
- (5 1 1), 2θ 41.2, I = 60
- (4 0 -2), 2θ 30.1, I = 51
- (2 0 -4), 2θ 31.9, I = 40
- (6 0 4), 2θ 57.6, I = 33
- (4 2 -5), 2θ 57.2, I = 28

Computed XRD peak list
Compound: AlSbN2
Radiation: Cu Ka
Structure: a cell relaxed with GGA-PBE
Intensities are scaled so that the largest is 100.

Cell and atoms:
```
data_AlSbN2
_symmetry_space_group_name_H-M 'R -3 m'
_symmetry_Int_Tables_number 166
_symmetry_space_group_name_Hall '-R 3 2"'
_cell_length_a 3.1258
_cell_length_b 3.1258
_cell_length_c 17.9946
_cell_angle_alpha 90.00
_cell_angle_beta 90.00
_cell_angle_gamma 120.00
loop_
_atom_site_label
_atom_site_type_symbol
_atom_site_fract_x
_atom_site_fract_y
_atom_site_fract_z
Al1 Al 0.0000 0.0000 0.0000
Sb1 Sb 0.0000 0.0000 0.5000
N1 N 0.0000 0.0000 0.3873
```

The 10 most intense peaks (2θ = 5–70°), in order of falling intensity:
- (0 1 2), 2θ 34.6, I = 100
- (0 0 3), 2θ 14.8, I = 65
- (1 0 1), 2θ 33.5, I = 62
- (1 0 4), 2θ 38.8, I = 47
- (0 0 6), 2θ 29.8, I = 39
- (0 1 8), 2θ 52.9, I = 35
- (1 1 0), 2θ 59.1, I = 26
- (1 0 10), 2θ 61.9, I = 25
- (1 1 6), 2θ 67.6, I = 23
- (1 0 7), 2θ 48.9, I = 16

Question: What is the formula in the first record?
Answer: Tb5Pm6Ho